Calculated PXRD pattern
Compound: ZrMn6Ga2Sn4
Radiation: Cu Kα X-rays
Structure: a structure optimized by DFT (PBE)
Peak positions follow from Bragg's law for the DFT cell and can differ from measured ones.

Cell and atoms:
a = 5.3598 Å, b = 5.3598 Å, c = 8.7813 Å
α = 90.00°, β = 90.00°, γ = 120.00°
Space group P6/mmm (No. 191)
Asymmetric unit:
Zr (0.0000, 0.0000, 0.0000) [1 per cell]
Mn (0.0000, 0.5000, 0.2552) [6 per cell]
Ga (0.3333, 0.6667, 0.5000) [2 per cell]
Sn (0.0000, 0.0000, 0.3354) [2 per cell]
Sn (0.3333, 0.6667, 0.0000) [2 per cell]

Main lines, low angle first (15 to 90 degrees two-theta):
2θ/deg	I (rel.)	index
30.54	24	0 0 3
33.44	100	1 1 0
36.28	33	1 0 3
38.80	40	2 0 0
39.39	78	1 1 2
44.14	74	2 0 2
45.72	27	1 0 4
45.91	40	1 1 3
70.25	34	2 2 0
73.77	38	1 1 6